Record 1
Computed powder diffraction line list of Cu5Ag4 for copper Kα, from a cell relaxed with PBE.
Peak positions follow from Bragg's law for the DFT cell and can differ from measured ones.

Crystal structure
```
Cu5Ag4
1.0
7.025 -1.390 0.000
7.025 1.390 0.000
-0.263 0.000 6.689
Cu Ag
5 4
direct
0.000 0.000 0.000 Cu
0.438 0.438 0.684 Cu
0.552 0.552 0.312 Cu
0.656 0.656 0.995 Cu
0.776 0.776 0.661 Cu
0.104 0.104 0.662 Ag
0.214 0.214 0.328 Ag
0.327 0.327 0.987 Ag
0.894 0.894 0.347 Ag
```

Principal peaks in the range 10° ≤ 2θ ≤ 90°, low angle first:
- 40.33 deg, d = 2.236 Å, intensity 100
- 40.45 deg, d = 2.230 Å, intensity 32
- 46.24 deg, d = 1.963 Å, intensity 44
- 48.34 deg, d = 1.883 Å, intensity 18
- 69.05 deg, d = 1.360 Å, intensity 12
- 81.61 deg, d = 1.180 Å, intensity 22

Record 2
Computed powder diffraction line list of MgZrBi2Pt2 for copper Kα, from a cell relaxed with PBE.
Peak positions follow from Bragg's law for the DFT cell and can differ from measured ones.

Crystal structure
```
MgZrBi2Pt2
1.0
-3.263 3.263 6.541
3.263 -3.263 6.541
3.263 3.263 -6.541
Mg Zr Bi Pt
2 2 4 4
direct
0.000 0.000 0.000 Mg
0.750 0.250 0.500 Mg
0.250 0.750 0.500 Zr
0.500 0.500 0.000 Zr
0.244 0.244 0.000 Bi
0.506 0.006 0.500 Bi
0.756 0.756 0.000 Bi
0.994 0.494 0.500 Bi
0.138 0.625 0.013 Pt
0.375 0.388 0.513 Pt
0.612 0.125 0.987 Pt
0.875 0.862 0.487 Pt
```

Principal peaks in the range 10° ≤ 2θ ≤ 90°, low angle first:
- 23.60 deg, d = 3.770 Å, intensity 67
- 39.01 deg, d = 2.309 Å, intensity 100
- 46.10 deg, d = 1.969 Å, intensity 35
- 61.94 deg, d = 1.498 Å, intensity 15
- 70.60 deg, d = 1.334 Å, intensity 12
- 70.70 deg, d = 1.332 Å, intensity 23

Record 3
Computed powder diffraction line list of Tm2In2Ga6Co for copper Kα, from a cell relaxed with PBE.
Peak positions follow from Bragg's law for the DFT cell and can differ from measured ones.

Crystal structure
```
Tm2In2Ga6Co
1.0
4.349 0.000 0.000
0.000 4.349 0.000
0.000 0.000 11.077
Tm In Ga Co
2 2 6 1
direct
0.000 0.000 0.196 Tm
0.000 0.000 0.804 Tm
0.500 0.500 0.193 In
0.500 0.500 0.807 In
0.000 0.500 0.000 Ga
0.000 0.500 0.385 Ga
0.000 0.500 0.615 Ga
0.500 0.000 0.000 Ga
0.500 0.000 0.385 Ga
0.500 0.000 0.615 Ga
0.000 0.000 0.500 Co
```

Principal peaks in the range 10° ≤ 2θ ≤ 90°, low angle first:
- 33.32 deg, d = 2.689 Å, intensity 60
- 38.08 deg, d = 2.363 Å, intensity 100
- 41.53 deg, d = 2.175 Å, intensity 60
- 59.57 deg, d = 1.552 Å, intensity 29
- 73.47 deg, d = 1.289 Å, intensity 28
- 75.24 deg, d = 1.263 Å, intensity 28

Record 4
Computed powder diffraction line list of TbFeBr7 for copper Kα, from a cell relaxed with PBE.
Peak positions follow from Bragg's law for the DFT cell and can differ from measured ones.

Crystal structure
```
TbFeBr7
1.0
6.835 0.000 0.000
1.160 8.962 0.000
2.625 0.753 10.444
Tb Fe Br
2 2 14
direct
0.000 0.000 0.000 Tb
0.241 0.432 0.439 Tb
0.541 0.630 0.032 Fe
0.815 0.062 0.454 Fe
0.030 0.425 0.685 Br
0.138 0.252 0.041 Br
0.156 0.121 0.409 Br
0.236 0.965 0.763 Br
0.319 0.834 0.124 Br
0.384 0.683 0.481 Br
0.461 0.568 0.852 Br
0.534 0.418 0.184 Br
0.589 0.266 0.540 Br
0.688 0.130 0.901 Br
0.732 0.996 0.264 Br
0.783 0.862 0.600 Br
0.880 0.695 0.981 Br
0.945 0.555 0.325 Br
```

Principal peaks in the range 10° ≤ 2θ ≤ 90°, low angle first:
- 26.66 deg, d = 3.344 Å, intensity 50
- 27.20 deg, d = 3.278 Å, intensity 100
- 27.83 deg, d = 3.206 Å, intensity 48
- 31.30 deg, d = 2.858 Å, intensity 84
- 31.57 deg, d = 2.834 Å, intensity 78
- 31.75 deg, d = 2.818 Å, intensity 88

Record 5
Computed powder diffraction line list of Gd2Ho2Al3 for copper Kα, from a cell relaxed with PBE.
Peak positions follow from Bragg's law for the DFT cell and can differ from measured ones.

Crystal structure
```
Gd2Ho2Al3
1.0
11.900 0.000 0.000
0.000 5.009 0.000
-2.548 0.000 6.125
Gd Ho Al
4 4 6
direct
0.042 0.000 0.279 Gd
0.458 0.500 0.721 Gd
0.542 0.500 0.279 Gd
0.958 0.000 0.721 Gd
0.183 0.500 0.799 Ho
0.317 0.000 0.201 Ho
0.683 0.000 0.799 Ho
0.817 0.500 0.201 Ho
0.000 0.500 0.000 Al
0.217 0.500 0.334 Al
0.283 0.000 0.666 Al
0.500 0.000 0.000 Al
0.717 0.000 0.334 Al
0.783 0.500 0.666 Al
```

Principal peaks in the range 10° ≤ 2θ ≤ 90°, low angle first:
- 26.16 deg, d = 3.406 Å, intensity 88
- 29.16 deg, d = 3.062 Å, intensity 65
- 30.11 deg, d = 2.968 Å, intensity 43
- 30.23 deg, d = 2.956 Å, intensity 92
- 35.05 deg, d = 2.560 Å, intensity 100
- 35.85 deg, d = 2.505 Å, intensity 53

Record 6
Computed powder diffraction line list of PrGe3AsPd6 for copper Kα, from a cell relaxed with PBE.
Peak positions follow from Bragg's law for the DFT cell and can differ from measured ones.

Crystal structure
```
PrGe3AsPd6
1.0
7.335 0.000 0.000
-3.668 6.353 0.000
0.000 0.000 4.064
Pr Ge As Pd
1 3 1 6
direct
0.000 0.000 0.000 Pr
0.387 0.194 0.500 Ge
0.806 0.194 0.500 Ge
0.806 0.613 0.500 Ge
0.333 0.667 0.000 As
0.199 0.398 0.500 Pd
0.199 0.801 0.500 Pd
0.536 0.072 0.000 Pd
0.536 0.464 0.000 Pd
0.602 0.801 0.500 Pd
0.928 0.464 0.000 Pd
```

Principal peaks in the range 10° ≤ 2θ ≤ 90°, low angle first:
- 32.89 deg, d = 2.723 Å, intensity 26
- 35.88 deg, d = 2.503 Å, intensity 100
- 37.46 deg, d = 2.401 Å, intensity 32
- 43.79 deg, d = 2.067 Å, intensity 37
- 44.59 deg, d = 2.032 Å, intensity 28
- 49.72 deg, d = 1.834 Å, intensity 26